# 1
Diffraction record for SrNdCrSnO6. The PXRD pattern is calculated, not measured: it uses a structure optimized by DFT (PBE+U) and Cu Kα (weighted mean of Kα1 and Kα2).
Kinematic intensities with the Lorentz-polarization factor, no thermal factor.

Atomic structure:
a b c (Å): 8.0125 8.0125 8.0125
angles (deg): 90.00 90.00 90.00
Space group F-43m (No. 216)
Asymmetric unit:
Sr: 0.0000 0.0000 0.0000 [4 per cell]
Nd: 0.0000 0.0000 0.5000 [4 per cell]
Cr: 0.2500 0.2500 0.7500 [4 per cell]
Sn: 0.2500 0.2500 0.2500 [4 per cell]
O: 0.0034 0.2500 0.7500 [24 per cell]

Main lines, by angle (10 to 90 degrees two-theta):
- 19.19°, d 4.626, intensity 11.3, (1 1 1)
- 31.58°, d 2.833, intensity 100.0, (2 2 0)
- 45.27°, d 2.003, intensity 32.7, (4 0 0)
- 56.24°, d 1.636, intensity 39.7, (4 2 2)
- 65.95°, d 1.416, intensity 19.8, (4 4 0)
- 74.96°, d 1.267, intensity 17.4, (6 2 0)

=====

# 2
Diffraction record for Fe2PdO4. The PXRD pattern is calculated, not measured: it uses a structure optimized by DFT (PBE+U) and Cu Kα (weighted mean of Kα1 and Kα2).
Kinematic intensities with the Lorentz-polarization factor, no thermal factor.

Atomic structure:
a b c (Å): 8.9588 7.7528 6.1514
angles (deg): 90.00 133.25 90.00
Space group C2/c (No. 15)
Asymmetric unit:
Fe: 0.0000 0.0000 0.0000 [4 per cell]
Fe: 0.2500 0.2500 0.0000 [4 per cell]
Pd: 0.0000 0.4369 0.2500 [4 per cell]
O: 0.0013 0.2583 0.5462 [8 per cell]
O: 0.2008 0.0008 0.9503 [8 per cell]

Main lines, by angle (10 to 90 degrees two-theta):
- 30.51°, d 2.930, intensity 36.5, (0 2 1)
- 33.16°, d 2.702, intensity 42.4, (3 1 -1)
- 34.24°, d 2.619, intensity 100.0, (3 1 -2)
- 35.98°, d 2.496, intensity 36.2, (2 2 0)
- 37.76°, d 2.383, intensity 49.5, (1 3 -1)
- 52.89°, d 1.731, intensity 41.6, (1 1 2)